# 1
Structure and computed PXRD pattern of BaAlCuSbO5 (a crystal structure in Alexandria, relaxed with GGA-PBE; Cu Kα (λ = 1.5418 Å)).
No peak broadening, texture or thermal motion is included.

Structure:
```
BaAlCuSbO5
1.0
-1.875 1.875 9.555
1.875 -1.875 9.555
1.875 1.875 -9.555
Ba Al Cu Sb O
1 1 1 1 5
Cartesian
0.000 0.000 0.000 Ba
0.000 0.000 6.884 Al
0.000 0.000 15.212 Cu
0.000 0.000 12.469 Sb
1.875 0.000 2.040 O
1.875 0.000 6.290 O
0.000 0.000 8.624 O
0.000 1.875 2.040 O
0.000 1.875 6.290 O
```

Main lines, sorted by position (2θ = 10–90°):
2θ = 24.19°, d = 3.679 Å, intensity 66
2θ = 27.61°, d = 3.231 Å, intensity 100
2θ = 28.01°, d = 3.185 Å, intensity 52
2θ = 33.48°, d = 2.676 Å, intensity 67
2θ = 33.81°, d = 2.651 Å, intensity 58
2θ = 44.46°, d = 2.038 Å, intensity 42
2θ = 48.57°, d = 1.875 Å, intensity 41
2θ = 49.32°, d = 1.848 Å, intensity 31
2θ = 56.78°, d = 1.621 Å, intensity 27
2θ = 57.00°, d = 1.616 Å, intensity 26

# 2
Structure and computed PXRD pattern of MnIr3Rh2 (a crystal structure in Alexandria, relaxed with GGA-PBE; Cu Kα (λ = 1.5418 Å)).
No peak broadening, texture or thermal motion is included.

Structure:
```
MnIr3Rh2
1.0
7.097 0.000 0.000
0.000 9.882 0.000
0.000 0.000 2.723
Mn Ir Rh
2 6 4
Cartesian
0.000 0.000 0.000 Mn
3.548 4.941 1.362 Mn
0.000 4.941 1.362 Ir
1.713 1.309 1.362 Ir
1.835 6.250 0.000 Ir
3.548 0.000 0.000 Ir
5.261 3.632 0.000 Ir
5.383 8.573 1.362 Ir
1.723 8.476 1.362 Rh
1.826 3.535 0.000 Rh
5.271 6.348 0.000 Rh
5.374 1.406 1.362 Rh
```

Main lines, sorted by position (2θ = 10–90°):
2θ = 21.92°, d = 4.055 Å, intensity 19
2θ = 25.10°, d = 3.548 Å, intensity 30
2θ = 31.03°, d = 2.882 Å, intensity 32
2θ = 42.85°, d = 2.111 Å, intensity 100
2θ = 43.10°, d = 2.099 Å, intensity 67
2θ = 44.70°, d = 2.028 Å, intensity 72
2θ = 51.52°, d = 1.774 Å, intensity 27
2θ = 69.36°, d = 1.355 Å, intensity 32
2θ = 81.43°, d = 1.182 Å, intensity 25
2θ = 86.00°, d = 1.130 Å, intensity 22

# 3
Structure and computed PXRD pattern of Li2TiTe3O12 (a crystal structure in Alexandria, relaxed with GGA-PBE; Cu Kα (λ = 1.5418 Å)).
No peak broadening, texture or thermal motion is included.

Structure:
```
Li2TiTe3O12
1.0
5.032 0.000 0.000
0.000 8.435 0.000
-0.109 0.000 5.214
Li Ti Te O
2 1 3 12
Cartesian
0.000 0.000 0.000 Li
2.516 1.064 0.000 Li
-0.055 1.771 2.607 Ti
0.000 3.234 0.000 Te
2.516 5.842 0.000 Te
2.461 7.525 2.607 Te
0.906 3.117 3.612 O
0.993 1.792 0.909 O
1.238 4.606 0.738 O
1.241 0.374 3.324 O
1.458 7.351 0.890 O
1.422 6.084 3.546 O
3.501 6.084 1.668 O
3.465 7.351 4.323 O
3.681 0.374 1.890 O
3.685 4.606 4.476 O
3.929 1.792 4.305 O
4.016 3.117 1.601 O
```

Main lines, sorted by position (2θ = 10–90°):
2θ = 20.02°, d = 4.435 Å, intensity 46
2θ = 20.56°, d = 4.321 Å, intensity 100
2θ = 32.39°, d = 2.764 Å, intensity 31
2θ = 32.80°, d = 2.731 Å, intensity 31
2θ = 36.30°, d = 2.475 Å, intensity 15
2θ = 40.08°, d = 2.250 Å, intensity 12
2θ = 40.74°, d = 2.215 Å, intensity 14
2θ = 49.87°, d = 1.828 Å, intensity 12
2θ = 51.55°, d = 1.773 Å, intensity 13
2θ = 52.11°, d = 1.755 Å, intensity 14

# 4
Structure and computed PXRD pattern of LiCuPO4 (a crystal structure in Alexandria, relaxed with GGA-PBE; Cu Kα (λ = 1.5418 Å)).
No peak broadening, texture or thermal motion is included.

Structure:
```
LiCuPO4
1.0
2.708 -4.536 0.000
2.708 4.536 0.000
-2.524 0.000 7.581
Li Cu P O
2 2 2 8
Cartesian
1.446 3.649 3.790 Li
2.708 -3.649 0.000 Li
0.331 0.543 6.495 Cu
1.593 -0.543 2.704 Cu
2.727 1.564 1.724 P
1.466 -1.564 5.514 P
1.282 1.006 1.463 O
2.681 2.977 2.348 O
0.020 -1.006 5.253 O
3.566 1.600 0.418 O
3.258 0.510 2.750 O
1.996 -0.510 6.540 O
2.304 -1.600 4.209 O
1.419 -2.977 6.138 O
```

Main lines, sorted by position (2θ = 10–90°):
2θ = 19.86°, d = 4.471 Å, intensity 100
2θ = 20.09°, d = 4.419 Å, intensity 64
2θ = 22.85°, d = 3.892 Å, intensity 44
2θ = 23.47°, d = 3.790 Å, intensity 49
2θ = 26.32°, d = 3.386 Å, intensity 38
2θ = 30.74°, d = 2.909 Å, intensity 28
2θ = 35.69°, d = 2.516 Å, intensity 18
2θ = 38.28°, d = 2.351 Å, intensity 21
2θ = 38.72°, d = 2.326 Å, intensity 20
2θ = 40.86°, d = 2.208 Å, intensity 23

# 5
Structure and computed PXRD pattern of Ba2LiFe2N3 (a crystal structure in Alexandria, relaxed with GGA-PBE; Cu Kα (λ = 1.5418 Å)).
No peak broadening, texture or thermal motion is included.

Structure:
```
Ba2LiFe2N3
1.0
3.429 -5.876 0.000
3.429 5.876 0.000
-0.196 0.000 6.792
Ba Li Fe N
4 2 4 6
Cartesian
1.613 0.855 2.713 Ba
1.515 -0.855 6.109 Ba
5.148 0.855 0.683 Ba
5.049 -0.855 4.079 Ba
3.380 3.606 1.698 Li
3.282 -3.606 5.094 Li
2.324 2.393 6.107 Fe
4.240 2.393 4.081 Fe
2.422 -2.393 2.711 Fe
4.338 -2.393 0.685 Fe
2.272 4.142 6.762 N
4.292 4.142 3.426 N
3.282 1.215 5.094 N
3.380 -1.215 1.698 N
2.370 -4.142 3.366 N
4.390 -4.142 0.030 N
```

Main lines, sorted by position (2θ = 10–90°):
2θ = 25.99°, d = 3.428 Å, intensity 73
2θ = 29.20°, d = 3.059 Å, intensity 87
2θ = 29.54°, d = 3.024 Å, intensity 100
2θ = 30.00°, d = 2.978 Å, intensity 79
2θ = 30.18°, d = 2.961 Å, intensity 30
2θ = 30.67°, d = 2.915 Å, intensity 95
2θ = 33.26°, d = 2.694 Å, intensity 81
2θ = 42.41°, d = 2.131 Å, intensity 29
2θ = 47.96°, d = 1.897 Å, intensity 27
2θ = 50.92°, d = 1.793 Å, intensity 38

# 6
Structure and computed PXRD pattern of Ho4TmSi4 (a crystal structure in Alexandria, relaxed with GGA-PBE; Cu Kα (λ = 1.5418 Å)).
No peak broadening, texture or thermal motion is included.

Structure:
```
Ho4TmSi4
1.0
8.883 0.000 0.000
0.000 8.883 0.000
0.000 0.000 5.745
Ho Tm Si
8 2 8
Cartesian
0.676 5.856 0.712 Ho
1.415 8.206 3.585 Ho
3.027 5.118 3.585 Ho
3.765 7.468 0.712 Ho
5.118 1.415 5.033 Ho
5.856 3.765 2.161 Ho
7.468 0.676 2.161 Ho
8.206 3.027 5.033 Ho
2.221 2.221 1.436 Tm
6.662 6.662 4.309 Tm
0.177 5.453 3.565 Si
1.011 8.706 0.692 Si
3.430 4.618 0.692 Si
4.265 7.871 3.565 Si
4.618 1.011 2.180 Si
5.453 4.265 5.053 Si
7.871 0.177 5.053 Si
8.706 3.430 2.180 Si
```

Main lines, sorted by position (2θ = 10–90°):
2θ = 27.29°, d = 3.268 Å, intensity 100
2θ = 31.86°, d = 2.809 Å, intensity 87
2θ = 32.49°, d = 2.756 Å, intensity 23
2θ = 32.76°, d = 2.733 Å, intensity 47
2θ = 35.58°, d = 2.524 Å, intensity 23
2θ = 43.91°, d = 2.062 Å, intensity 18
2θ = 45.68°, d = 1.986 Å, intensity 29
2θ = 48.68°, d = 1.870 Å, intensity 23
2θ = 53.13°, d = 1.724 Å, intensity 26
2θ = 54.03°, d = 1.697 Å, intensity 27

# 7
Structure and computed PXRD pattern of Ce2Th3Tl2 (a crystal structure in Alexandria, relaxed with GGA-PBE; Cu Kα (λ = 1.5418 Å)).
No peak broadening, texture or thermal motion is included.

Structure:
```
Ce2Th3Tl2
1.0
-1.754 2.763 10.705
1.754 -2.763 10.705
1.754 2.763 -10.705
Ce Th Tl
2 3 2
Cartesian
0.000 0.000 1.369 Ce
0.000 0.000 20.042 Ce
1.754 0.000 4.247 Th
0.000 0.000 10.705 Th
0.000 2.763 6.458 Th
1.754 0.000 7.605 Tl
0.000 2.763 3.100 Tl
```

Main lines, sorted by position (2θ = 10–90°):
2θ = 31.34°, d = 2.854 Å, intensity 100
2θ = 32.41°, d = 2.763 Å, intensity 55
2θ = 33.01°, d = 2.714 Å, intensity 42
2θ = 33.49°, d = 2.676 Å, intensity 85
2θ = 34.61°, d = 2.591 Å, intensity 20
2θ = 46.93°, d = 1.936 Å, intensity 32
2θ = 57.14°, d = 1.612 Å, intensity 19
2θ = 58.49°, d = 1.578 Å, intensity 24
2θ = 63.40°, d = 1.467 Å, intensity 28
2θ = 82.17°, d = 1.173 Å, intensity 19

# 8
Structure and computed PXRD pattern of NbSe3O9 (a crystal structure in Alexandria, relaxed with GGA-PBE; Cu Kα (λ = 1.5418 Å)).
No peak broadening, texture or thermal motion is included.

Structure:
```
NbSe3O9
1.0
7.987 -3.635 0.000
7.987 3.635 0.000
-4.798 0.000 7.995
Nb Se O
2 6 18
Cartesian
5.588 1.970 3.998 Nb
7.987 -1.970 0.000 Nb
0.569 0.398 6.341 Se
2.968 -0.398 2.343 Se
5.429 0.690 7.170 Se
7.828 -0.690 3.172 Se
11.098 0.883 4.668 Se
13.497 -0.883 0.670 Se
9.238 -2.818 0.896 O
1.129 1.270 5.003 O
6.339 2.589 2.185 O
1.440 1.397 7.836 O
6.839 2.818 4.894 O
4.070 0.871 2.473 O
4.673 1.161 5.662 O
3.528 -1.270 1.006 O
1.671 -0.871 6.471 O
6.490 0.141 3.849 O
4.091 -0.141 7.847 O
3.839 -1.397 3.838 O
9.032 0.401 2.836 O
7.072 -1.161 1.664 O
6.633 -0.401 6.833 O
3.940 -2.589 6.183 O
9.645 0.368 7.922 O
12.044 -0.368 3.925 O
```

Main lines, sorted by position (2θ = 10–90°):
2θ = 20.70°, d = 4.290 Å, intensity 100
2θ = 23.00°, d = 3.867 Å, intensity 47
2θ = 23.20°, d = 3.834 Å, intensity 59
2θ = 24.04°, d = 3.701 Å, intensity 23
2θ = 26.94°, d = 3.309 Å, intensity 18
2θ = 27.78°, d = 3.211 Å, intensity 16
2θ = 31.15°, d = 2.872 Å, intensity 33
2θ = 38.78°, d = 2.322 Å, intensity 19
2θ = 39.16°, d = 2.300 Å, intensity 15
2θ = 41.86°, d = 2.158 Å, intensity 15

# 9
Structure and computed PXRD pattern of PmZnCd3 (a crystal structure in Alexandria, relaxed with GGA-PBE; Cu Kα (λ = 1.5418 Å)).
No peak broadening, texture or thermal motion is included.

Structure:
```
PmZnCd3
1.0
7.155 0.000 0.000
0.000 4.475 0.000
-1.863 0.000 7.233
Pm Zn Cd
2 2 6
Cartesian
1.153 1.119 1.222 Pm
4.139 3.356 6.011 Pm
1.930 1.119 5.489 Zn
3.362 3.356 1.744 Zn
-0.765 1.119 4.758 Cd
0.446 3.356 6.455 Cd
1.498 3.356 3.745 Cd
3.794 1.119 3.488 Cd
4.846 1.119 0.778 Cd
6.057 3.356 2.475 Cd
```

Main lines, sorted by position (2θ = 10–90°):
2θ = 31.81°, d = 2.813 Å, intensity 81
2θ = 31.93°, d = 2.803 Å, intensity 100
2θ = 32.59°, d = 2.748 Å, intensity 45
2θ = 32.69°, d = 2.740 Å, intensity 71
2θ = 37.05°, d = 2.426 Å, intensity 22
2θ = 37.32°, d = 2.410 Å, intensity 87
2θ = 37.82°, d = 2.379 Å, intensity 23
2θ = 39.87°, d = 2.261 Å, intensity 23
2θ = 40.30°, d = 2.238 Å, intensity 87
2θ = 42.63°, d = 2.121 Å, intensity 27

# 10
Structure and computed PXRD pattern of MnSbCl (a crystal structure in Alexandria, relaxed with GGA-PBE; Cu Kα (λ = 1.5418 Å)).
No peak broadening, texture or thermal motion is included.

Structure:
```
MnSbCl
1.0
3.384 0.000 0.000
0.000 6.143 0.000
-0.621 0.000 7.004
Mn Sb Cl
2 2 2
Cartesian
0.541 0.000 1.998 Mn
2.222 3.072 5.005 Mn
1.234 2.121 0.020 Sb
1.528 5.192 6.983 Sb
0.517 3.897 3.485 Cl
2.245 0.826 3.518 Cl
```

Main lines, sorted by position (2θ = 10–90°):
2θ = 12.64°, d = 7.004 Å, intensity 86
2θ = 19.22°, d = 4.618 Å, intensity 42
2θ = 25.44°, d = 3.502 Å, intensity 41
2θ = 30.43°, d = 2.937 Å, intensity 45
2θ = 31.81°, d = 2.813 Å, intensity 100
2θ = 31.95°, d = 2.801 Å, intensity 54
2θ = 33.83°, d = 2.650 Å, intensity 37
2θ = 38.30°, d = 2.350 Å, intensity 41
2θ = 39.00°, d = 2.309 Å, intensity 36
2θ = 52.26°, d = 1.750 Å, intensity 45

# 11
Structure and computed PXRD pattern of Cs3Ga4Sn2 (a crystal structure in Alexandria, relaxed with GGA-PBE; Cu Kα (λ = 1.5418 Å)).
No peak broadening, texture or thermal motion is included.

Structure:
```
Cs3Ga4Sn2
1.0
4.677 0.000 0.000
-2.328 7.298 0.000
-2.330 -3.040 9.442
Cs Ga Sn
3 4 2
Cartesian
0.000 0.000 0.000 Cs
-2.327 4.688 5.936 Cs
2.346 -0.430 3.506 Cs
0.009 4.574 0.659 Ga
0.008 2.481 3.430 Ga
0.010 1.777 6.012 Ga
0.010 -0.317 8.783 Ga
-2.336 0.814 7.326 Sn
2.354 3.444 2.116 Sn
```

Main lines, sorted by position (2θ = 10–90°):
2θ = 25.67°, d = 3.470 Å, intensity 62
2θ = 25.87°, d = 3.444 Å, intensity 35
2θ = 27.72°, d = 3.218 Å, intensity 100
2θ = 28.53°, d = 3.129 Å, intensity 14
2θ = 30.01°, d = 2.977 Å, intensity 15
2θ = 31.97°, d = 2.800 Å, intensity 16
2θ = 37.29°, d = 2.412 Å, intensity 34
2θ = 38.50°, d = 2.339 Å, intensity 31
2θ = 48.04°, d = 1.894 Å, intensity 19
2θ = 48.86°, d = 1.864 Å, intensity 28

# 12
Structure and computed PXRD pattern of Ag2SbTe5 (a crystal structure in Alexandria, relaxed with GGA-PBE; Cu Kα (λ = 1.5418 Å)).
No peak broadening, texture or thermal motion is included.

Structure:
```
Ag2SbTe5
1.0
6.215 0.000 0.000
2.731 6.212 0.000
3.093 -0.004 6.183
Ag Sb Te
2 1 5
Cartesian
0.000 0.000 0.000 Ag
8.932 6.207 6.183 Ag
6.014 3.104 3.091 Sb
5.995 3.424 6.134 Te
5.825 6.162 2.791 Te
6.206 0.045 3.391 Te
6.036 2.784 0.048 Te
9.122 3.104 3.091 Te
```

Main lines, sorted by position (2θ = 10–90°):
2θ = 28.76°, d = 3.104 Å, intensity 100
2θ = 28.88°, d = 3.092 Å, intensity 47
2θ = 39.81°, d = 2.264 Å, intensity 20
2θ = 41.21°, d = 2.190 Å, intensity 68
2θ = 42.41°, d = 2.131 Å, intensity 16
2θ = 49.92°, d = 1.827 Å, intensity 18
2θ = 52.07°, d = 1.756 Å, intensity 8
2θ = 59.58°, d = 1.552 Å, intensity 11
2θ = 67.50°, d = 1.388 Å, intensity 10
2θ = 67.69°, d = 1.384 Å, intensity 8